1.
Calculated powder XRD pattern of Pr3NdSb2 for Cu Kα, 1.54184 Å, from the PBE geometry in Alexandria.
Kinematic intensities with the Lorentz-polarization factor, no thermal factor.

Structure:
abc: 4.6279 4.6279 8.9442
angles: 90.00 90.00 90.00
Fractional coordinates of all 6 atoms:
Pr 0.0000 0.0000 0.0000
Pr 0.0000 0.5000 0.6436
Pr 0.5000 0.0000 0.3564
Nd 0.5000 0.5000 0.0000
Sb 0.0000 0.5000 0.2782
Sb 0.5000 0.0000 0.7218

The 10 most intense peaks (5° ≤ 2θ ≤ 70°), low angle first:
2θ = 29.06°, d = 3.073 Å, rel. 100.0; 2θ = 29.97°, d = 2.981 Å, rel. 40.2; 2θ = 33.95°, d = 2.641 Å, rel. 87.3; 2θ = 35.83°, d = 2.506 Å, rel. 24.2; 2θ = 38.92°, d = 2.314 Å, rel. 59.0; 2θ = 49.89°, d = 1.828 Å, rel. 38.8; 2θ = 56.22°, d = 1.636 Å, rel. 20.1; 2θ = 64.52°, d = 1.444 Å, rel. 20.5; 2θ = 65.02°, d = 1.434 Å, rel. 17.4; 2θ = 67.32°, d = 1.391 Å, rel. 23.6

***

2.
Calculated powder XRD pattern of Ta2Nb4Pd for Cu Kα, 1.54184 Å, from the PBE geometry in Alexandria.
Kinematic intensities with the Lorentz-polarization factor, no thermal factor.

Structure:
abc: 7.2136 7.2136 5.6450
angles: 106.15 106.15 81.40
Fractional coordinates of all 14 atoms:
Ta 0.0014 0.9986 0.5000
Ta 0.3747 0.9001 0.2602
Ta 0.9001 0.3747 0.7602
Ta 0.9986 0.0014 0.0000
Nb 0.1381 0.6421 0.2709
Nb 0.1401 0.6356 0.7769
Nb 0.2770 0.2765 0.0084
Nb 0.2765 0.2770 0.5084
Nb 0.6356 0.1401 0.2769
Nb 0.6421 0.1381 0.7709
Nb 0.7310 0.7306 0.0017
Nb 0.7306 0.7310 0.5017
Pd 0.3778 0.8919 0.7565
Pd 0.8919 0.3778 0.2565

The 10 most intense peaks (5° ≤ 2θ ≤ 70°), low angle first:
2θ = 12.82°, d = 6.908 Å, rel. 38.3; 2θ = 27.96°, d = 3.191 Å, rel. 14.1; 2θ = 36.03°, d = 2.493 Å, rel. 9.1; 2θ = 38.27°, d = 2.352 Å, rel. 36.3; 2θ = 39.12°, d = 2.303 Å, rel. 9.2; 2θ = 39.28°, d = 2.294 Å, rel. 100.0; 2θ = 40.31°, d = 2.238 Å, rel. 58.1; 2θ = 55.97°, d = 1.643 Å, rel. 23.4; 2θ = 59.11°, d = 1.563 Å, rel. 9.3; 2θ = 69.87°, d = 1.346 Å, rel. 11.6

***

3.
Calculated powder XRD pattern of Rb2IrRhCl6 for Cu Kα, 1.54184 Å, from the PBE geometry in Alexandria.
Kinematic intensities with the Lorentz-polarization factor, no thermal factor.

Structure:
abc: 7.0108 7.0108 7.0108
angles: 119.88 119.88 90.21
Fractional coordinates of all 10 atoms:
Rb 0.2500 0.7500 0.5000
Rb 0.7500 0.2500 0.5000
Ir 0.0000 0.0000 0.0000
Rh 0.5000 0.5000 0.0000
Cl 0.2449 0.2449 0.4897
Cl 0.2449 0.7551 0.0000
Cl 0.2460 0.2460 0.0000
Cl 0.7540 0.7540 0.0000
Cl 0.7551 0.2449 0.0000
Cl 0.7551 0.7551 0.5103

The 10 most intense peaks (5° ≤ 2θ ≤ 70°), low angle first:
2θ = 15.47°, d = 5.728 Å, rel. 10.1; 2θ = 17.88°, d = 4.960 Å, rel. 29.2; 2θ = 25.39°, d = 3.507 Å, rel. 100.0; 2θ = 36.17°, d = 2.483 Å, rel. 39.4; 2θ = 36.31°, d = 2.474 Å, rel. 19.5; 2θ = 44.75°, d = 2.025 Å, rel. 44.8; 2θ = 52.09°, d = 1.756 Å, rel. 13.1; 2θ = 52.19°, d = 1.753 Å, rel. 26.1; 2θ = 58.81°, d = 1.570 Å, rel. 13.6; 2θ = 65.15°, d = 1.432 Å, rel. 13.1